Theoretical powder diffractogram of Li2Pr2ZnPd5 for Cu Kα, from the GGA-PBE geometry in Alexandria.

Main lines, low angle first (10 to 90 degrees two-theta):
| hkl | Position (°2θ) | I_rel |
| --- | --- | --- |
| 2 1 1 | 31.51 | 76 |
| 2 2 1 | 35.51 | 37 |
| 3 1 1 | 37.97 | 100 |
| 4 1 0 | 38.59 | 75 |
| 3 2 1 | 41.43 | 32 |
| 4 1 2 | 63.35 | 35 |

Atomic structure:
Cell lengths 9.6194, 9.6194, 3.7785 Å; angles 90.00, 90.00, 90.00 degrees
Space group P4/mbm (No. 127)
Asymmetric unit:
Li: 0.1187 0.3813 0.0000
Pr: 0.1809 0.6809 0.0000
Zn: 0.0000 0.0000 0.0000
Pd: 0.0000 0.5000 0.5000
Pd: 0.0625 0.2039 0.5000